Record 1
This entry pairs a crystal structure of ErMoBrO4 with its theoretical powder X-ray diffraction pattern. Radiation: Cu Kα X-rays. Structure: a DFT-relaxed cell (PBE+U, the Materials Project).

Crystal structure
Cell lengths 6.925, 7.245, 10.929 Å; angles 104.37, 107.57, 94.02 degrees
Sites, in units of the cell vectors:
Er 0.114 0.341 0.232
Er 0.152 0.115 0.731
Er 0.848 0.885 0.269
Er 0.886 0.659 0.768
Mo 0.231 0.813 0.134
Mo 0.273 0.591 0.628
Mo 0.727 0.409 0.372
Mo 0.769 0.187 0.866
Br 0.239 0.003 0.481
Br 0.309 0.283 0.018
Br 0.691 0.717 0.982
Br 0.761 0.997 0.519
O 0.101 0.017 0.183
O 0.130 0.640 0.201
O 0.154 0.792 0.703
O 0.164 0.729 0.957
O 0.170 0.505 0.449
O 0.222 0.407 0.700
O 0.457 0.346 0.328
O 0.498 0.127 0.793
O 0.502 0.873 0.207
O 0.543 0.654 0.672
O 0.778 0.593 0.300
O 0.830 0.495 0.551
O 0.836 0.271 0.043
O 0.846 0.208 0.297
O 0.870 0.360 0.799
O 0.899 0.983 0.817

Peak list (12 most intense, 2θ = 10–90°, low angle first)
2θ = 13.58°, 6.520 Å, I = 38.7
2θ = 17.75°, 4.997 Å, I = 23.0
2θ = 24.69°, 3.605 Å, I = 100.0
2θ = 25.80°, 3.454 Å, I = 47.2
2θ = 27.36°, 3.260 Å, I = 22.2
2θ = 28.06°, 3.179 Å, I = 18.9
2θ = 29.89°, 2.989 Å, I = 20.3
2θ = 30.56°, 2.925 Å, I = 14.5
2θ = 31.19°, 2.867 Å, I = 24.9
2θ = 33.31°, 2.690 Å, I = 24.9
2θ = 35.59°, 2.522 Å, I = 14.7
2θ = 50.67°, 1.802 Å, I = 22.8



Record 2
This entry pairs a crystal structure of Rb2FeH2Br5O with its theoretical powder X-ray diffraction pattern. Radiation: Cu Kα X-rays. Structure: a DFT-relaxed cell (PBE+U, the Materials Project).

Crystal structure
Cell lengths 14.759, 10.496, 7.634 Å; angles 90.00, 90.00, 90.00 degrees
Sites, in units of the cell vectors:
Rb 0.144 0.002 0.156
Rb 0.144 0.498 0.156
Rb 0.356 0.502 0.656
Rb 0.356 0.998 0.656
Rb 0.644 0.002 0.344
Rb 0.644 0.498 0.344
Rb 0.856 0.502 0.844
Rb 0.856 0.998 0.844
Fe 0.113 0.750 0.694
Fe 0.387 0.250 0.194
Fe 0.613 0.750 0.806
Fe 0.887 0.250 0.306
H 0.027 0.174 0.534
H 0.027 0.326 0.534
H 0.473 0.674 0.034
H 0.473 0.826 0.034
H 0.527 0.174 0.966
H 0.527 0.326 0.966
H 0.973 0.674 0.466
H 0.973 0.826 0.466
Br 0.007 0.750 0.965
Br 0.103 0.505 0.681
Br 0.103 0.995 0.681
Br 0.220 0.750 0.431
Br 0.249 0.750 0.900
Br 0.251 0.250 0.400
Br 0.280 0.250 0.931
Br 0.397 0.005 0.181
Br 0.397 0.495 0.181
Br 0.493 0.250 0.465
Br 0.507 0.750 0.535
Br 0.603 0.505 0.819
Br 0.603 0.995 0.819
Br 0.720 0.750 0.069
Br 0.749 0.750 0.600
Br 0.751 0.250 0.100
Br 0.780 0.250 0.569
Br 0.897 0.005 0.319
Br 0.897 0.495 0.319
Br 0.993 0.250 0.035
O 0.003 0.250 0.475
O 0.497 0.750 0.975
O 0.503 0.250 0.025
O 0.997 0.750 0.525

Peak list (12 most intense, 2θ = 10–90°, low angle first)
2θ = 14.35°, 6.174 Å, I = 9.9
2θ = 14.67°, 6.037 Å, I = 9.9
2θ = 26.84°, 3.322 Å, I = 8.3
2θ = 27.46°, 3.248 Å, I = 13.2
2θ = 28.92°, 3.087 Å, I = 17.1
2θ = 29.59°, 3.019 Å, I = 100.0
2θ = 33.79°, 2.653 Å, I = 15.4
2θ = 34.17°, 2.624 Å, I = 26.8
2θ = 45.84°, 1.980 Å, I = 12.6
2θ = 48.82°, 1.865 Å, I = 11.4
2θ = 58.37°, 1.581 Å, I = 10.9
2θ = 60.32°, 1.534 Å, I = 8.3



Record 3
This entry pairs a crystal structure of Fe7Sb10Br8O18 with its theoretical powder X-ray diffraction pattern. Radiation: Cu Kα X-rays. Structure: a DFT-relaxed cell (PBE+U, the Materials Project).

Crystal structure
Cell lengths 10.121, 10.168, 10.328 Å; angles 72.63, 64.44, 64.83 degrees
Sites, in units of the cell vectors:
Fe 0.000 0.000 0.000
Fe 0.017 0.638 0.868
Fe 0.342 0.467 0.595
Fe 0.354 0.735 0.700
Fe 0.646 0.265 0.300
Fe 0.658 0.533 0.405
Fe 0.983 0.362 0.132
Sb 0.018 0.327 0.770
Sb 0.313 0.788 0.348
Sb 0.323 0.432 0.966
Sb 0.329 0.140 0.866
Sb 0.334 0.085 0.479
Sb 0.666 0.915 0.521
Sb 0.671 0.860 0.134
Sb 0.677 0.568 0.034
Sb 0.687 0.212 0.652
Sb 0.982 0.673 0.230
Br 0.022 0.642 0.607
Br 0.067 0.935 0.716
Br 0.282 0.781 0.987
Br 0.359 0.443 0.317
Br 0.641 0.557 0.683
Br 0.718 0.219 0.013
Br 0.933 0.065 0.284
Br 0.978 0.358 0.393
O 0.067 0.547 0.075
O 0.098 0.150 0.907
O 0.218 0.278 0.019
O 0.253 0.300 0.707
O 0.260 0.562 0.795
O 0.372 0.956 0.347
O 0.406 0.655 0.498
O 0.438 0.914 0.611
O 0.477 0.270 0.812
O 0.523 0.730 0.188
O 0.562 0.086 0.389
O 0.594 0.345 0.502
O 0.628 0.044 0.653
O 0.740 0.438 0.205
O 0.747 0.700 0.293
O 0.782 0.722 0.981
O 0.902 0.850 0.093
O 0.933 0.453 0.925

Peak list (12 most intense, 2θ = 10–90°, low angle first)
2θ = 11.35°, 7.798 Å, I = 41.4
2θ = 22.81°, 3.899 Å, I = 47.9
2θ = 24.94°, 3.570 Å, I = 26.5
2θ = 28.66°, 3.115 Å, I = 75.2
2θ = 28.88°, 3.091 Å, I = 28.4
2θ = 29.62°, 3.016 Å, I = 100.0
2θ = 31.30°, 2.857 Å, I = 77.6
2θ = 34.32°, 2.613 Å, I = 30.7
2θ = 34.56°, 2.595 Å, I = 42.8
2θ = 35.85°, 2.505 Å, I = 35.8
2θ = 37.72°, 2.385 Å, I = 26.5
2θ = 47.88°, 1.900 Å, I = 22.4



Record 4
This entry pairs a crystal structure of MnH4Br2O2 with its theoretical powder X-ray diffraction pattern. Radiation: Cu Kα X-rays. Structure: a DFT-relaxed cell (PBE+U, the Materials Project).

Crystal structure
Cell lengths 6.006, 6.006, 3.964 Å; angles 96.95, 96.95, 95.91 degrees
Sites, in units of the cell vectors:
Mn 0.000 0.000 0.000
H 0.226 0.610 0.856
H 0.390 0.774 0.144
H 0.610 0.226 0.856
H 0.774 0.390 0.144
Br 0.241 0.241 0.577
Br 0.759 0.759 0.423
O 0.242 0.758 0.000
O 0.758 0.242 0.000

Peak list (12 most intense, 2θ = 10–90°, low angle first)
2θ = 14.97°, 5.919 Å, I = 49.8
2θ = 19.91°, 4.460 Å, I = 96.1
2θ = 29.10°, 3.069 Å, I = 100.0
2θ = 30.20°, 2.960 Å, I = 43.1
2θ = 30.45°, 2.935 Å, I = 32.6
2θ = 35.12°, 2.556 Å, I = 40.0
2θ = 35.52°, 2.528 Å, I = 33.6
2θ = 38.95°, 2.313 Å, I = 24.7
2θ = 40.45°, 2.230 Å, I = 29.4
2θ = 40.69°, 2.217 Å, I = 28.9
2θ = 47.07°, 1.931 Å, I = 22.7
2θ = 50.60°, 1.804 Å, I = 23.1